(1)
Diffraction record for Rb3Sn2Pt2. The X-ray powder pattern is calculated, not measured: it uses a crystal structure in OQMD, relaxed with PBE and Cu Kα (weighted mean of Kα1 and Kα2).

Largest 10 diffraction maxima, low angle first, 2θ from 15° to 90°:
| Position (°2θ) | Rel. int. |
| --- | --- |
| 16.0 | 74 |
| 22.4 | 25 |
| 29.1 | 35 |
| 32.1 | 67 |
| 36.5 | 100 |
| 40.1 | 46 |
| 49.4 | 22 |
| 49.6 | 26 |
| 62.8 | 19 |
| 63.0 | 24 |

Cell and atoms:
a b c (Å): 4.921 4.921 22.105
angles (deg): 90.00 90.00 120.00
Positions (direct):
1 Rb 0.000 0.000 0.149
2 Rb 0.000 0.000 0.351
3 Rb 0.000 0.000 0.649
4 Rb 0.000 0.000 0.851
5 Rb 0.333 0.667 0.250
6 Rb 0.667 0.333 0.750
7 Sn 0.333 0.667 0.534
8 Sn 0.333 0.667 0.966
9 Sn 0.667 0.333 0.034
10 Sn 0.667 0.333 0.466
11 Pt 0.000 0.000 0.000
12 Pt 0.000 0.000 0.500
13 Pt 0.333 0.667 0.750
14 Pt 0.667 0.333 0.250

=====

(2)
Diffraction record for RbTaPt. The X-ray powder pattern is calculated, not measured: it uses a crystal structure in OQMD, relaxed with PBE and Cu Kα (weighted mean of Kα1 and Kα2).

Largest 10 diffraction maxima, low angle first, 2θ from 15° to 90°:
| Position (°2θ) | Rel. int. |
| --- | --- |
| 22.6 | 51 |
| 26.2 | 3 |
| 37.3 | 100 |
| 44.1 | 28 |
| 53.8 | 18 |
| 59.1 | 12 |
| 67.3 | 36 |
| 72.0 | 9 |
| 79.6 | 11 |
| 84.0 | 9 |

Cell and atoms:
a b c (Å): 4.818 4.818 4.818
angles (deg): 60.00 60.00 60.00
Positions (direct):
1 Rb 0.000 0.000 0.000
2 Ta 0.500 0.500 0.500
3 Pt 0.250 0.250 0.250

=====

(3)
Diffraction record for Rb2Ta2Pt3. The X-ray powder pattern is calculated, not measured: it uses a crystal structure in OQMD, relaxed with PBE and Cu Kα (weighted mean of Kα1 and Kα2).

Largest 10 diffraction maxima, low angle first, 2θ from 15° to 90°:
| Position (°2θ) | Rel. int. |
| --- | --- |
| 25.5 | 32 |
| 25.7 | 23 |
| 26.9 | 35 |
| 36.8 | 33 |
| 39.9 | 100 |
| 40.9 | 34 |
| 44.2 | 33 |
| 48.1 | 26 |
| 53.7 | 33 |
| 70.5 | 21 |

Cell and atoms:
a b c (Å): 10.733 10.733 10.733
angles (deg): 24.29 24.29 24.29
Positions (direct):
1 Rb 0.000 0.000 0.000
2 Rb 0.407 0.407 0.407
3 Ta 0.180 0.180 0.180
4 Ta 0.583 0.583 0.583
5 Pt 0.263 0.263 0.263
6 Pt 0.505 0.505 0.505
7 Pt 0.810 0.810 0.810

=====

(4)
Diffraction record for Rb3Tl3Pt2. The X-ray powder pattern is calculated, not measured: it uses a crystal structure in OQMD, relaxed with PBE and Cu Kα (weighted mean of Kα1 and Kα2).

Largest 10 diffraction maxima, low angle first, 2θ from 15° to 90°:
| Position (°2θ) | Rel. int. |
| --- | --- |
| 20.1 | 42 |
| 20.8 | 33 |
| 27.5 | 47 |
| 28.0 | 68 |
| 28.7 | 74 |
| 31.7 | 100 |
| 34.8 | 96 |
| 36.8 | 64 |
| 42.2 | 68 |
| 49.3 | 59 |

Cell and atoms:
a b c (Å): 6.955 6.955 16.975
angles (deg): 90.00 90.00 138.85
Positions (direct):
1 Rb 0.063 0.937 0.606
2 Rb 0.063 0.937 0.894
3 Rb 0.384 0.616 0.750
4 Rb 0.616 0.384 0.250
5 Rb 0.937 0.063 0.106
6 Rb 0.937 0.063 0.394
7 Tl 0.320 0.680 0.250
8 Tl 0.340 0.660 0.537
9 Tl 0.340 0.660 0.963
10 Tl 0.660 0.340 0.037
11 Tl 0.660 0.340 0.463
12 Tl 0.680 0.320 0.750
13 Pt 0.222 0.778 0.107
14 Pt 0.222 0.778 0.393
15 Pt 0.778 0.222 0.607
16 Pt 0.778 0.222 0.893

=====

(5)
Diffraction record for PtS. The X-ray powder pattern is calculated, not measured: it uses a crystal structure in OQMD, relaxed with PBE and Cu Kα (weighted mean of Kα1 and Kα2).

Largest 10 diffraction maxima, low angle first, 2θ from 15° to 90°:
| Position (°2θ) | Rel. int. |
| --- | --- |
| 30.2 | 67 |
| 30.7 | 59 |
| 30.9 | 59 |
| 33.3 | 43 |
| 33.7 | 100 |
| 48.2 | 23 |
| 51.9 | 33 |
| 52.4 | 40 |
| 52.8 | 24 |
| 56.8 | 21 |

Cell and atoms:
a b c (Å): 6.480 6.480 6.657
angles (deg): 90.00 90.00 90.00
Positions (direct):
1 Pt 0.000 0.000 0.250
2 Pt 0.000 0.000 0.750
3 Pt 0.000 0.500 0.000
4 Pt 0.256 0.528 0.500
5 Pt 0.472 0.256 0.000
6 Pt 0.500 0.000 0.500
7 Pt 0.528 0.744 0.000
8 Pt 0.744 0.472 0.500
9 S 0.194 0.307 0.226
10 S 0.194 0.307 0.774
11 S 0.307 0.806 0.274
12 S 0.307 0.806 0.726
13 S 0.693 0.194 0.274
14 S 0.693 0.194 0.726
15 S 0.806 0.693 0.226
16 S 0.806 0.693 0.774

=====

(6)
Diffraction record for Pt3S4. The X-ray powder pattern is calculated, not measured: it uses a crystal structure in OQMD, relaxed with PBE and Cu Kα (weighted mean of Kα1 and Kα2).

Largest 10 diffraction maxima, low angle first, 2θ from 15° to 90°:
| Position (°2θ) | Rel. int. |
| --- | --- |
| 19.1 | 39 |
| 30.5 | 100 |
| 33.5 | 20 |
| 48.1 | 32 |
| 50.2 | 26 |
| 52.2 | 11 |
| 56.1 | 15 |
| 65.2 | 23 |
| 78.6 | 21 |
| 83.4 | 10 |

Cell and atoms:
a b c (Å): 6.555 6.555 6.555
angles (deg): 90.00 90.00 90.00
Positions (direct):
1 Pt 0.000 0.250 0.500
2 Pt 0.000 0.750 0.500
3 Pt 0.250 0.500 0.000
4 Pt 0.500 0.000 0.250
5 Pt 0.500 0.000 0.750
6 Pt 0.750 0.500 0.000
7 S 0.250 0.250 0.250
8 S 0.250 0.250 0.750
9 S 0.250 0.750 0.250
10 S 0.250 0.750 0.750
11 S 0.750 0.250 0.250
12 S 0.750 0.250 0.750
13 S 0.750 0.750 0.250
14 S 0.750 0.750 0.750